# Cu2Pd3
Computed X-ray diffraction stick pattern, Cu Kα (λ = 1.5418 Å). Input: a structure optimized by DFT (PBE).
Lines closer than 0.1° are merged.

Atomic structure:
Unit cell a=2.762 b=2.762 c=18.425 alpha=90.00 beta=90.00 gamma=90.00
Space group P4/mmm (No. 123)
Inequivalent atoms, fractional coordinates:
Cu  0.000  0.000  0.098 (multiplicity 2)
Cu  0.000  0.000  0.293 (multiplicity 2)
Pd  0.000  0.000  0.500 (multiplicity 1)
Pd  0.500  0.500  0.000 (multiplicity 1)
Pd  0.500  0.500  0.196 (multiplicity 2)
Pd  0.500  0.500  0.390 (multiplicity 2)

The 6 most intense peaks (2θ from 5° to 70°), low angle first:
| h k l | 2theta | I_rel |
| --- | --- | --- |
| 0 0 5 | 24.15 | 3 |
| 1 0 0 | 32.41 | 3 |
| 1 0 5 | 40.83 | 100 |
| 1 1 0 | 46.49 | 35 |
| 0 0 10 | 49.47 | 13 |
| 2 0 0 | 67.85 | 11 |